Starting from a crystal structure in Alexandria, relaxed with GGA-PBE, the powder diffractogram of Tb5Al6 was calculated for Cu Kα (λ = 1.5418 Å).
No peak broadening, texture or thermal motion is included.

Principal peaks in the range 10° ≤ 2θ ≤ 90°, in order of rising 2θ:
h k l  d_spacing  Rel. int.
1 3 0  3.575  56
0 0 2  3.529  27
0 6 0  2.536  26
2 0 0  2.519  26
1 3 2  2.511  100
2 6 0  1.787  18
1 9 2  1.459  18
3 3 2  1.453  18

Atomic structure:
```
data_Tb5Al6
_chemical_formula_sum 'Tb10 Al12'
_cell_length_a 5.039
_cell_length_b 15.215
_cell_length_c 7.058
_cell_angle_alpha 90.00
_cell_angle_beta 90.00
_cell_angle_gamma 90.00
_symmetry_space_group_name_H-M 'C m m m'
_symmetry_Int_Tables_number 65
_symmetry_space_group_name_Hall '-C 2 2'
loop_
_atom_site_label
_atom_site_fract_x
_atom_site_fract_y
_atom_site_fract_z
Tb1 0.000 0.000 0.000
Tb2 0.000 0.332 0.500
Tb3 0.000 0.334 0.000
Al1 0.000 0.155 0.268
Al2 0.000 0.500 0.279
```